Computed PXRD pattern of Na7Ca for CuKα, from a cell relaxed with GGA-PBE.
Lines closer than 0.1° are merged.

Atomic structure:
```
Na7Ca
1.0
5.178 0.000 0.000
0.000 5.178 0.000
0.000 0.000 22.358
Na Ca
14 2
direct
0.000 0.000 0.000
0.000 0.000 0.252
0.000 0.000 0.748
0.000 0.500 0.128
0.000 0.500 0.372
0.000 0.500 0.628
0.000 0.500 0.872
0.500 0.000 0.128
0.500 0.000 0.372
0.500 0.000 0.628
0.500 0.000 0.872
0.500 0.500 0.248
0.500 0.500 0.500
0.500 0.500 0.752
0.000 0.000 0.500
0.500 0.500 0.000
```

The 8 most intense peaks (2θ = 10–80°), by angle:
29.16 deg, intensity 100, hkl 1 1 4; 32.03 deg, intensity 19, hkl 0 0 8; 34.65 deg, intensity 31, hkl 2 0 0; 47.90 deg, intensity 23, hkl 2 0 8; 55.33 deg, intensity 14, hkl 1 1 12; 58.76 deg, intensity 24, hkl 3 1 4; 60.45 deg, intensity 11, hkl 2 2 8; 77.64 deg, intensity 13, hkl 3 1 12